Diffraction record for K3Nb3B2O12. The X-ray powder pattern is theoretical, not measured: it uses a structure optimized by DFT (GGA-PBE) and copper Kα.
Lines closer than 0.1° are merged.

Crystal structure
```
K3Nb3B2O12
1.0
8.9088 0.0000 0.0000
-4.4544 7.7153 0.0000
0.0000 0.0000 4.0487
K Nb B O
3 3 2 12
Direct
0.0000 0.5974 0.0000
0.4026 0.4026 0.0000
0.5974 0.0000 0.0000
0.0000 0.2470 0.5214
0.2470 0.0000 0.5214
0.7530 0.7530 0.5214
0.3333 0.6667 0.4773
0.6667 0.3333 0.4773
0.0000 0.2622 0.9785
0.0000 0.8206 0.4849
0.1794 0.1794 0.4849
0.1880 0.5044 0.4766
0.2622 0.0000 0.9785
0.3164 0.8120 0.4766
0.4956 0.6836 0.4766
0.5044 0.1880 0.4766
0.6836 0.4956 0.4766
0.7378 0.7378 0.9785
0.8120 0.3164 0.4766
0.8206 0.0000 0.4849
```

Peak list (10 most intense, 15 to 90 degrees two-theta, sorted by position)
2θ 19.9, I 77; 2θ 22.0, I 48; 2θ 24.8, I 26; 2θ 29.8, I 97; 2θ 30.7, I 100; 2θ 32.0, I 40; 2θ 44.8, I 30; 2θ 52.6, I 27; 2θ 55.2, I 36; 2θ 56.8, I 29